(1)
Diffraction record for Eu3Ni7B2. The powder diffractogram is computed, not measured: it uses a structure optimized by DFT (PBE) and Cu Kα (λ = 1.5418 Å).
Intensities are scaled so that the largest is 100.

The 12 most intense peaks (2θ = 10–90°), by angle:
h k l, 2theta, intensity
1 0 2, 31.43, 49
1 1 0, 34.16, 39
1 1 1, 36.37, 25
0 0 3, 36.94, 20
2 0 0, 39.65, 52
2 0 1, 41.61, 19
1 0 3, 42.12, 14
1 1 2, 42.42, 100
2 1 2, 59.45, 15
1 1 4, 61.93, 24
3 0 2, 66.84, 25
2 2 0, 71.94, 21

Structure:
Cell lengths 5.2498, 5.2498, 7.2999 Å; angles 90.00, 90.00, 120.00 degrees
Space group P-6m2 (No. 187)
Symmetry-distinct sites (fractional):
1 Eu 0.0000 0.0000 0.0000 x1
2 Eu 0.0000 0.0000 0.5000 x1
3 Eu 0.3333 0.6667 0.0000 x1
4 Ni 0.5052 0.0103 0.3145 x6
5 Ni 0.6667 0.3333 0.0000 x1
6 B 0.3333 0.6667 0.5000 x1
7 B 0.6667 0.3333 0.5000 x1


(2)
Diffraction record for NbTl2Br5. The powder diffractogram is computed, not measured: it uses a structure optimized by DFT (PBE) and Cu Kα (λ = 1.5418 Å).
Intensities are scaled so that the largest is 100.

The 12 most intense peaks (2θ = 10–90°), by angle:
h k l, 2theta, intensity
1 1 0, 14.10, 27
1 1 -1, 15.78, 32
2 0 0, 17.26, 33
0 2 0, 22.39, 20
1 1 1, 23.02, 52
3 1 -1, 23.91, 51
0 0 2, 27.65, 31
2 2 0, 28.41, 71
4 0 -2, 29.14, 32
2 2 -2, 31.87, 100
2 0 2, 40.79, 28
4 2 0, 41.89, 26

Structure:
Cell lengths 12.6681, 7.9380, 7.9556 Å; angles 90.00, 125.79, 90.00 degrees
Space group Cm (No. 8)
Symmetry-distinct sites (fractional):
1 Nb 0.0000 0.0000 0.0000 x2
2 Tl 0.2772 0.0000 0.7573 x2
3 Tl 0.2804 0.5000 0.2947 x2
4 Br 0.2371 0.0000 0.2796 x2
5 Br 0.4270 0.2700 0.1496 x4
6 Br 0.4716 0.2725 0.7370 x4


(3)
Diffraction record for Pm3NdDy. The powder diffractogram is computed, not measured: it uses a structure optimized by DFT (PBE) and Cu Kα (λ = 1.5418 Å).
Intensities are scaled so that the largest is 100.

The 12 most intense peaks (2θ = 10–90°), by angle:
h k l, 2theta, intensity
4 0 2, 30.11, 100
5 1 0, 34.91, 51
0 2 0, 50.18, 30
10 0 0, 50.28, 6
4 2 2, 59.62, 29
9 1 2, 59.72, 14
8 0 4, 62.60, 12
10 2 0, 73.78, 4
1 3 -2, 81.61, 15
14 0 2, 81.79, 3
1 1 8, 84.13, 5
5 3 0, 84.26, 8

Structure:
Cell lengths 18.8602, 3.6355, 10.2966 Å; angles 90.00, 105.83, 90.00 degrees
Space group C2/m (No. 12)
Symmetry-distinct sites (fractional):
1 Pm 0.9998 0.0000 0.2490 x4
2 Pm 0.1011 0.5000 0.0488 x4
3 Pm 0.2009 0.0000 0.3481 x4
4 Nd 0.1008 0.5000 0.5521 x4
5 Dy 0.2006 0.0000 0.8527 x4


(4)
Diffraction record for Mg2In3Pb6. The powder diffractogram is computed, not measured: it uses a structure optimized by DFT (PBE) and Cu Kα (λ = 1.5418 Å).
Intensities are scaled so that the largest is 100.

The 12 most intense peaks (2θ = 10–90°), by angle:
h k l, 2theta, intensity
0 2 0, 18.66, 29
0 2 1, 19.79, 100
0 0 4, 26.04, 27
2 0 -1, 31.42, 89
1 3 0, 32.42, 45
1 3 -1, 32.64, 55
1 1 4, 33.85, 76
1 1 -5, 35.61, 66
1 3 3, 39.30, 48
1 3 -4, 40.52, 46
1 5 4, 59.05, 24
3 1 -6, 59.84, 24

Structure:
Cell lengths 5.7065, 9.4967, 13.8308 Å; angles 90.00, 98.23, 90.00 degrees
Space group C2/m (No. 12)
Symmetry-distinct sites (fractional):
1 Mg 0.1301 0.0000 0.2171 x4
2 In 0.0000 0.0000 0.0000 x2
3 In 0.1789 0.5000 0.3276 x4
4 Pb 0.0699 0.3270 0.1221 x8
5 Pb 0.2262 0.0000 0.4410 x4


(5)
Diffraction record for NbCrS5. The powder diffractogram is computed, not measured: it uses a structure optimized by DFT (PBE) and Cu Kα (λ = 1.5418 Å).
Intensities are scaled so that the largest is 100.

The 12 most intense peaks (2θ = 10–90°), by angle:
h k l, 2theta, intensity
1 0 0, 10.29, 94
1 0 -1, 10.97, 46
1 0 1, 16.80, 76
1 0 -2, 18.05, 28
2 1 -1, 32.63, 100
1 0 -4, 36.63, 27
3 1 -1, 39.29, 16
3 1 0, 41.26, 34
3 1 -3, 42.93, 13
1 1 3, 44.42, 21
1 1 -4, 45.66, 14
0 2 0, 54.13, 16

Structure:
Cell lengths 9.3868, 3.3884, 9.9225 Å; angles 90.00, 113.67, 90.00 degrees
Space group P2_1/m (No. 11)
Symmetry-distinct sites (fractional):
1 Nb 0.2094 0.2500 0.1330 x2
2 Cr 0.0654 0.7500 0.3983 x2
3 S 0.0108 0.7500 0.1340 x2
4 S 0.1275 0.7500 0.6460 x2
5 S 0.2449 0.2500 0.4048 x2
6 S 0.3255 0.7500 0.0132 x2
7 S 0.4292 0.7500 0.2388 x2


(6)
Diffraction record for BaTl2Pb. The powder diffractogram is computed, not measured: it uses a structure optimized by DFT (PBE) and Cu Kα (λ = 1.5418 Å).
Intensities are scaled so that the largest is 100.

The 12 most intense peaks (2θ = 10–90°), by angle:
h k l, 2theta, intensity
0 0 1, 15.68, 20
1 1 1, 27.68, 100
2 0 -2, 30.31, 35
3 1 -1, 32.57, 73
0 2 0, 35.57, 30
4 0 0, 38.74, 23
1 1 2, 40.79, 11
2 2 -2, 47.42, 23
4 2 0, 53.60, 18
1 3 1, 59.18, 12
5 1 1, 60.76, 12
3 3 -1, 61.99, 12

Structure:
Cell lengths 10.0126, 5.0480, 6.0861 Å; angles 90.00, 111.80, 90.00 degrees
Space group Cm (No. 8)
Symmetry-distinct sites (fractional):
1 Ba 0.0000 0.0000 0.0000 x2
2 Tl 0.2612 0.5000 0.3161 x2
3 Tl 0.4966 0.0000 0.4817 x2
4 Pb 0.2397 0.0000 0.6869 x2


(7)
Diffraction record for Tb2Al5Rh3. The powder diffractogram is computed, not measured: it uses a structure optimized by DFT (PBE) and Cu Kα (λ = 1.5418 Å).
Intensities are scaled so that the largest is 100.

The 12 most intense peaks (2θ = 10–90°), by angle:
h k l, 2theta, intensity
0 4 1, 19.35, 10
1 3 0, 23.50, 13
0 6 1, 25.16, 13
1 3 1, 26.97, 14
0 6 2, 34.14, 11
1 3 2, 35.50, 100
0 10 1, 38.50, 26
1 9 0, 38.82, 13
2 0 0, 42.51, 29
1 3 3, 46.80, 8
2 10 1, 58.68, 11
3 3 2, 73.22, 12

Structure:
Cell lengths 4.2544, 24.9028, 6.7818 Å; angles 90.00, 90.00, 90.00 degrees
Space group Cmc2_1 (No. 36)
Symmetry-distinct sites (fractional):
1 Tb 0.0000 0.0230 0.0000 x4
2 Tb 0.0000 0.3247 0.9297 x4
3 Al 0.0000 0.0999 0.6248 x4
4 Al 0.0000 0.2069 0.1120 x4
5 Al 0.0000 0.2119 0.7190 x4
6 Al 0.0000 0.3709 0.4624 x4
7 Al 0.0000 0.4446 0.8296 x4
8 Rh 0.0000 0.1092 0.2429 x4
9 Rh 0.0000 0.2708 0.4129 x4
10 Rh 0.0000 0.4518 0.2119 x4


(8)
Diffraction record for Pa4GeAs2Se. The powder diffractogram is computed, not measured: it uses a structure optimized by DFT (PBE) and Cu Kα (λ = 1.5418 Å).
Intensities are scaled so that the largest is 100.

The 12 most intense peaks (2θ = 10–90°), by angle:
h k l, 2theta, intensity
0 0 2, 26.59, 34
2 0 0, 26.72, 11
1 1 1, 30.84, 100
0 2 0, 44.09, 38
2 0 2, 44.26, 38
1 1 3, 52.25, 10
0 0 4, 54.77, 20
2 2 2, 64.25, 13
1 3 1, 72.84, 18
4 2 0, 73.08, 17
1 1 5, 81.13, 11
4 2 -4, 81.25, 9

Structure:
Cell lengths 7.0793, 4.1057, 7.1180 Å; angles 90.00, 109.53, 90.00 degrees
Space group P2/m (No. 10)
Symmetry-distinct sites (fractional):
1 Pa 0.2486 0.0000 0.2485 x2
2 Pa 0.2492 0.5000 0.7508 x2
3 Ge 0.0000 0.0000 0.5000 x1
4 As 0.0000 0.5000 0.0000 x1
5 As 0.5000 0.0000 0.0000 x1
6 Se 0.5000 0.5000 0.5000 x1


(9)
Diffraction record for AcCdSi2Pd2. The powder diffractogram is computed, not measured: it uses a structure optimized by DFT (PBE) and Cu Kα (λ = 1.5418 Å).
Intensities are scaled so that the largest is 100.

The 12 most intense peaks (2θ = 10–90°), by angle:
h k l, 2theta, intensity
1 0 0, 23.62, 24
0 1 1, 26.54, 39
1 0 2, 33.91, 100
0 0 3, 36.32, 9
1 1 0, 41.53, 55
0 2 2, 54.65, 25
0 1 4, 55.19, 19
1 1 3, 56.33, 16
2 1 2, 70.90, 23
2 0 4, 71.37, 9
3 0 0, 75.76, 9
1 2 4, 86.09, 11

Structure:
Cell lengths 4.3493, 4.3493, 7.4207 Å; angles 90.00, 90.00, 120.00 degrees
Space group P-3m1 (No. 164)
Symmetry-distinct sites (fractional):
1 Ac 0.0000 0.0000 0.0000 x1
2 Cd 0.0000 0.0000 0.5000 x1
3 Si 0.3333 0.6667 0.7140 x2
4 Pd 0.3333 0.6667 0.3308 x2


(10)
Diffraction record for YMn2Co. The powder diffractogram is computed, not measured: it uses a structure optimized by DFT (PBE) and Cu Kα (λ = 1.5418 Å).
Intensities are scaled so that the largest is 100.

The 12 most intense peaks (2θ = 10–90°), by angle:
h k l, 2theta, intensity
0 0 3, 18.01, 33
1 0 1, 26.58, 33
0 1 2, 28.60, 28
1 0 4, 35.64, 72
0 0 6, 36.49, 48
0 1 5, 40.21, 37
1 1 0, 45.62, 100
0 2 4, 59.20, 15
1 1 6, 59.78, 63
1 0 10, 69.19, 21
2 1 4, 77.80, 13
3 0 0, 84.37, 15

Structure:
Cell lengths 3.9768, 3.9768, 14.7740 Å; angles 90.00, 90.00, 120.00 degrees
Space group R-3m (No. 166, hexagonal axes)
Symmetry-distinct sites (fractional):
1 Y 0.0000 0.0000 0.0000 x3
2 Mn 0.0000 0.0000 0.1885 x6
3 Co 0.0000 0.0000 0.5000 x3


(11)
Diffraction record for Dy2BeGaIr2. The powder diffractogram is computed, not measured: it uses a structure optimized by DFT (PBE) and Cu Kα (λ = 1.5418 Å).
Intensities are scaled so that the largest is 100.

The 12 most intense peaks (2θ = 10–90°), by angle:
h k l, 2theta, intensity
0 4 0, 26.23, 33
0 0 2, 31.31, 100
2 2 0, 34.04, 13
1 4 1, 34.49, 88
0 4 2, 41.29, 76
2 0 2, 44.87, 57
1 6 1, 45.93, 22
2 4 2, 52.72, 17
3 4 1, 57.75, 17
1 4 3, 57.85, 20
1 8 1, 58.98, 26
1 8 3, 77.06, 22

Structure:
Cell lengths 5.7208, 13.5920, 5.7060 Å; angles 90.00, 90.00, 90.00 degrees
Space group Ibam (No. 72)
Symmetry-distinct sites (fractional):
1 Dy 0.2358 0.1708 0.0000 x8
2 Be 0.0000 0.5000 0.2500 x4
3 Ga 0.0000 0.0000 0.2500 x4
4 Ir 0.2175 0.3929 0.0000 x8